For Ca2CoSi2O7, a DFT-relaxed cell (PBE+U, the Materials Project) gives the calculated XRD peak list in this record (a wavelength of 1.5418 Å).
No peak broadening, texture or thermal motion is included.

Crystal structure
```
data_Ca2CoSi2O7
_chemical_formula_sum 'Ca4 Co2 Si4 O14'
_cell_length_a 7.9095
_cell_length_b 7.9095
_cell_length_c 5.0634
_cell_angle_alpha 90.00
_cell_angle_beta 90.00
_cell_angle_gamma 90.00
_symmetry_space_group_name_H-M 'P 1'
_symmetry_Int_Tables_number 1
loop_
_symmetry_equiv_pos_as_xyz
'x,y,z'
loop_
_atom_site_label
_atom_site_fract_x
_atom_site_fract_y
_atom_site_fract_z
Ca1 0.1701 0.3299 0.4994
Ca2 0.3299 0.8299 0.5006
Ca3 0.6701 0.1701 0.5006
Ca4 0.8299 0.6701 0.4994
Co1 0.0000 0.0000 0.0000
Co2 0.5000 0.5000 0.0000
Si1 0.1409 0.6409 0.9322
Si2 0.3591 0.1409 0.0678
Si3 0.6409 0.8591 0.0678
Si4 0.8591 0.3591 0.9322
O1 0.0000 0.5000 0.8160
O2 0.0823 0.8140 0.7775
O3 0.1431 0.6431 0.2508
O4 0.1860 0.0823 0.2225
O5 0.3140 0.5823 0.7775
O6 0.3569 0.1431 0.7492
O7 0.4177 0.3140 0.2225
O8 0.5000 0.0000 0.1840
O9 0.5823 0.6860 0.2225
O10 0.6431 0.8569 0.7492
O11 0.6860 0.4177 0.7775
O12 0.8140 0.9177 0.2225
O13 0.8569 0.3569 0.2508
O14 0.9177 0.1860 0.7775
```

Main lines, by intensity (5° ≤ 2θ ≤ 70°):
Position (°2θ)  intensity  index
30.84  100.0  2 1 1
28.64  58.5  2 0 1
51.35  39.3  3 1 2
35.90  35.6  3 1 0
23.70  35.0  1 1 1
43.98  15.7  2 1 2
51.68  14.3  4 2 0
32.01  14.1  2 2 0
50.90  12.2  4 1 1
48.51  11.9  2 2 2



For Li4Ni7O11, a DFT-relaxed cell (PBE+U, the Materials Project) gives the calculated XRD peak list in this record (a wavelength of 1.5418 Å).
No peak broadening, texture or thermal motion is included.

Crystal structure
```
data_Li4Ni7O11
_chemical_formula_sum 'Li8 Ni14 O22'
_cell_length_a 5.0958
_cell_length_b 8.7565
_cell_length_c 9.7001
_cell_angle_alpha 113.79
_cell_angle_beta 95.93
_cell_angle_gamma 95.20
_symmetry_space_group_name_H-M 'P 1'
_symmetry_Int_Tables_number 1
loop_
_symmetry_equiv_pos_as_xyz
'x,y,z'
loop_
_atom_site_label
_atom_site_fract_x
_atom_site_fract_y
_atom_site_fract_z
Li1 0.0434 0.1854 0.0906
Li2 0.1418 0.5408 0.2689
Li3 0.2221 0.9122 0.4535
Li4 0.4134 0.6365 0.8188
Li5 0.5866 0.3635 0.1812
Li6 0.7779 0.0878 0.5465
Li7 0.8582 0.4592 0.7311
Li8 0.9566 0.8146 0.9094
Ni1 0.0442 0.6824 0.5944
Ni2 0.1334 0.0466 0.7719
Ni3 0.2248 0.4086 0.9568
Ni4 0.3174 0.7722 0.1349
Ni5 0.3193 0.2717 0.6350
Ni6 0.4091 0.1370 0.3182
Ni7 0.5000 0.0000 0.0000
Ni8 0.5000 0.5000 0.5000
Ni9 0.5909 0.8630 0.6818
Ni10 0.6807 0.7283 0.3650
Ni11 0.6826 0.2278 0.8651
Ni12 0.7752 0.5914 0.0432
Ni13 0.8666 0.9534 0.2281
Ni14 0.9558 0.3176 0.4056
O1 0.0153 0.2418 0.7503
O2 0.0865 0.1162 0.4268
O3 0.1059 0.6194 0.9452
O4 0.1976 0.9652 0.1149
O5 0.2079 0.4766 0.6032
O6 0.2664 0.8563 0.7948
O7 0.2844 0.3513 0.3105
O8 0.3570 0.1955 0.9703
O9 0.3742 0.6892 0.4794
O10 0.4514 0.5840 0.1572
O11 0.4614 0.0807 0.6704
O12 0.5386 0.9193 0.3296
O13 0.5486 0.4160 0.8428
O14 0.6258 0.3108 0.5206
O15 0.6430 0.8045 0.0297
O16 0.7156 0.6487 0.6895
O17 0.7336 0.1437 0.2052
O18 0.7921 0.5234 0.3968
O19 0.8024 0.0348 0.8851
O20 0.8941 0.3806 0.0548
O21 0.9135 0.8838 0.5732
O22 0.9847 0.7582 0.2497
```

Main lines, by intensity (5° ≤ 2θ ≤ 70°):
Position (°2θ)  intensity  index
18.60  100.0  0 1 -2
43.27  69.7  2 1 -3
37.63  66.4  -1 2 2
44.07  64.6  1 1 3
43.91  63.9  1 -4 2
63.45  54.9  3 2 0
37.71  22.1  0 2 -4
63.30  18.5  -3 3 1
63.87  17.7  0 5 1
64.07  17.7  2 -3 5



For LiCr2O4, a DFT-relaxed cell (PBE+U, the Materials Project) gives the calculated XRD peak list in this record (a wavelength of 1.5418 Å).
No peak broadening, texture or thermal motion is included.

Crystal structure
```
data_LiCr2O4
_chemical_formula_sum 'Li4 Cr8 O16'
_cell_length_a 5.9572
_cell_length_b 5.9572
_cell_length_c 8.3019
_cell_angle_alpha 90.00
_cell_angle_beta 90.00
_cell_angle_gamma 90.00
_symmetry_space_group_name_H-M 'P 1'
_symmetry_Int_Tables_number 1
loop_
_symmetry_equiv_pos_as_xyz
'x,y,z'
loop_
_atom_site_label
_atom_site_fract_x
_atom_site_fract_y
_atom_site_fract_z
Li1 0.2472 0.2472 0.1250
Li2 0.2472 0.7528 0.3750
Li3 0.7528 0.2472 0.8750
Li4 0.7528 0.7528 0.6250
Cr1 0.0000 0.2553 0.5000
Cr2 0.0000 0.7447 0.0000
Cr3 0.2504 0.5000 0.7500
Cr4 0.2553 0.0000 0.7500
Cr5 0.5000 0.2504 0.5000
Cr6 0.5000 0.7496 0.0000
Cr7 0.7447 0.0000 0.2500
Cr8 0.7496 0.5000 0.2500
O1 0.0344 0.2559 0.7426
O2 0.0344 0.7441 0.7574
O3 0.2559 0.0344 0.5074
O4 0.2559 0.9656 0.9926
O5 0.2572 0.4805 0.5173
O6 0.2572 0.5195 0.9827
O7 0.4805 0.2572 0.7327
O8 0.4805 0.7428 0.7673
O9 0.5195 0.2572 0.2673
O10 0.5195 0.7428 0.2327
O11 0.7428 0.4805 0.4827
O12 0.7428 0.5195 0.0173
O13 0.7441 0.0344 0.4926
O14 0.7441 0.9656 0.0074
O15 0.9656 0.2559 0.2574
O16 0.9656 0.7441 0.2426
```

Main lines, by intensity (5° ≤ 2θ ≤ 70°):
Position (°2θ)  intensity  index
18.33  100.0  1 0 1
42.94  37.7  2 2 0
35.38  30.6  2 1 1
62.86  21.5  2 2 4
43.61  18.0  0 0 4
35.78  15.3  1 0 3
56.82  12.4  3 2 1
62.35  11.0  4 0 0
37.15  9.0  2 0 2
47.37  6.2  2 1 3



For MgVPbO3, a DFT-relaxed cell (PBE+U, the Materials Project) gives the calculated XRD peak list in this record (a wavelength of 1.5418 Å).
No peak broadening, texture or thermal motion is included.

Crystal structure
```
data_MgVPbO3
_chemical_formula_sum 'Mg1 V1 Pb1 O3'
_cell_length_a 4.0441
_cell_length_b 4.0441
_cell_length_c 6.2794
_cell_angle_alpha 90.00
_cell_angle_beta 90.00
_cell_angle_gamma 90.00
_symmetry_space_group_name_H-M 'P 1'
_symmetry_Int_Tables_number 1
loop_
_symmetry_equiv_pos_as_xyz
'x,y,z'
loop_
_atom_site_label
_atom_site_fract_x
_atom_site_fract_y
_atom_site_fract_z
Mg1 0.0000 0.0000 0.0000
V1 0.0000 0.0000 0.5953
Pb1 0.5000 0.5000 0.1050
O1 0.0000 0.0000 0.3043
O2 0.0000 0.5000 0.8886
O3 0.5000 0.0000 0.8886
```

Main lines, by intensity (5° ≤ 2θ ≤ 70°):
Position (°2θ)  intensity  index
26.21  100.0  1 0 1
14.10  69.7  0 0 1
31.28  42.6  1 1 0
42.77  40.1  1 1 2
52.67  30.2  2 1 1
34.46  29.6  1 1 1
49.00  27.0  1 0 3
44.82  24.3  2 0 0
36.22  22.2  1 0 2
68.57  19.5  2 1 3



For Li11Ti4Fe9O32, a DFT-relaxed cell (PBE+U, the Materials Project) gives the calculated XRD peak list in this record (a wavelength of 1.5418 Å).
No peak broadening, texture or thermal motion is included.

Crystal structure
```
data_Li11Ti4Fe9O32
_chemical_formula_sum 'Li11 Ti4 Fe9 O32'
_cell_length_a 8.3383
_cell_length_b 8.3621
_cell_length_c 8.5030
_cell_angle_alpha 89.71
_cell_angle_beta 89.80
_cell_angle_gamma 89.80
_symmetry_space_group_name_H-M 'P 1'
_symmetry_Int_Tables_number 1
loop_
_symmetry_equiv_pos_as_xyz
'x,y,z'
loop_
_atom_site_label
_atom_site_fract_x
_atom_site_fract_y
_atom_site_fract_z
Li1 0.0000 0.0000 0.0000
Li2 0.0008 0.4955 0.4991
Li3 0.1227 0.1275 0.3744
Li4 0.2494 0.2508 0.7539
Li5 0.3717 0.6282 0.6272
Li6 0.5008 0.9978 0.5022
Li7 0.5042 0.4962 0.9991
Li8 0.6244 0.8743 0.1181
Li9 0.7500 0.2557 0.2503
Li10 0.7542 0.7529 0.7542
Li11 0.8803 0.3696 0.8827
Ti1 0.3721 0.3560 0.3938
Ti2 0.6240 0.6239 0.3676
Ti3 0.6281 0.3874 0.6348
Ti4 0.8658 0.8892 0.3614
Fe1 0.1251 0.8742 0.6247
Fe2 0.1293 0.6271 0.8748
Fe3 0.1303 0.3746 0.1305
Fe4 0.2536 0.7545 0.2564
Fe5 0.3770 0.1262 0.1268
Fe6 0.3777 0.8744 0.8707
Fe7 0.6233 0.1225 0.8719
Fe8 0.8749 0.1234 0.6305
Fe9 0.8748 0.6257 0.1278
O1 0.0991 0.1064 0.6282
O2 0.1131 0.8700 0.3886
O3 0.1169 0.6458 0.6463
O4 0.1271 0.6192 0.1229
O5 0.1336 0.4058 0.8978
O6 0.1411 0.8589 0.8705
O7 0.1466 0.3773 0.3559
O8 0.1477 0.1456 0.1234
O9 0.3465 0.8777 0.6368
O10 0.3625 0.3615 0.1353
O11 0.3632 0.6497 0.8738
O12 0.3713 0.8921 0.1195
O13 0.3797 0.1391 0.3597
O14 0.3868 0.1047 0.8838
O15 0.3902 0.3721 0.6094
O16 0.3912 0.6157 0.3722
O17 0.6034 0.1267 0.0987
O18 0.6045 0.8939 0.8760
O19 0.6120 0.3870 0.3922
O20 0.6205 0.3486 0.8561
O21 0.6385 0.6041 0.6105
O22 0.6426 0.8527 0.3816
O23 0.6436 0.6202 0.1439
O24 0.6452 0.1272 0.6426
O25 0.8521 0.1208 0.8533
O26 0.8635 0.3439 0.6272
O27 0.8669 0.6335 0.3538
O28 0.8729 0.1090 0.3996
O29 0.8773 0.8658 0.1464
O30 0.8928 0.8906 0.6150
O31 0.8973 0.6287 0.9085
O32 0.9096 0.3889 0.1270
```

Main lines, by intensity (5° ≤ 2θ ≤ 70°):
Position (°2θ)  intensity  index
18.25  100.0  1 1 1
18.32  94.1  1 -1 1
42.53  48.3  0 0 4
35.64  45.4  1 -3 1
43.28  45.4  0 4 0
43.41  45.3  4 0 0
14.87  42.7  0 1 1
35.53  33.3  -1 3 1
62.49  32.9  4 0 -4
23.49  26.2  1 0 -2



For Li6Ni3P6WO24, a DFT-relaxed cell (PBE+U, the Materials Project) gives the calculated XRD peak list in this record (a wavelength of 1.5418 Å).
No peak broadening, texture or thermal motion is included.

Crystal structure
```
data_Li6Ni3P6WO24
_chemical_formula_sum 'Li6 Ni3 P6 W1 O24'
_cell_length_a 8.6991
_cell_length_b 8.7536
_cell_length_c 8.7545
_cell_angle_alpha 60.48
_cell_angle_beta 60.30
_cell_angle_gamma 60.53
_symmetry_space_group_name_H-M 'P 1'
_symmetry_Int_Tables_number 1
loop_
_symmetry_equiv_pos_as_xyz
'x,y,z'
loop_
_atom_site_label
_atom_site_fract_x
_atom_site_fract_y
_atom_site_fract_z
Li1 0.0000 0.0000 0.0000
Li2 0.0924 0.4787 0.9678
Li3 0.2871 0.8701 0.6662
Li4 0.5680 0.6861 0.2827
Li5 0.7196 0.3420 0.1376
Li6 0.8823 0.1685 0.4875
Ni1 0.3945 0.9938 0.7915
Ni2 0.6042 0.2066 0.0001
Ni3 0.8971 0.4934 0.2967
P1 0.2049 0.0924 0.1824
P2 0.2962 0.5915 0.0900
P3 0.4981 0.3819 0.6082
P4 0.6947 0.8931 0.3906
P5 0.7898 0.8066 0.8994
P6 0.9941 0.2897 0.6937
W1 0.1014 0.6946 0.5015
O1 0.0217 0.2588 0.2126
O2 0.0657 0.4578 0.6288
O3 0.1438 0.5277 0.1255
O4 0.1524 0.1047 0.7212
O5 0.1564 0.9287 0.3825
O6 0.2143 0.0422 0.0344
O7 0.2250 0.6565 0.2669
O8 0.2968 0.7662 0.9190
O9 0.3357 0.5817 0.5535
O10 0.3803 0.1078 0.1613
O11 0.4438 0.2300 0.6360
O12 0.4826 0.4389 0.0936
O13 0.5135 0.9257 0.5487
O14 0.5169 0.3765 0.7736
O15 0.6281 0.8478 0.8509
O16 0.6639 0.4068 0.4210
O17 0.7240 0.7378 0.3361
O18 0.7294 0.0651 0.2213
O19 0.7982 0.9651 0.9206
O20 0.8116 0.6189 0.0625
O21 0.8387 0.2931 0.8815
O22 0.8658 0.8167 0.4663
O23 0.9349 0.3233 0.5407
O24 0.9862 0.7499 0.7338
```

Main lines, by intensity (5° ≤ 2θ ≤ 70°):
Position (°2θ)  intensity  index
20.28  100.0  1 1 2
23.81  62.5  2 0 1
14.29  61.8  0 1 1
20.17  54.3  0 1 -1
23.75  48.2  1 2 0
32.31  41.6  1 2 3
28.78  38.6  0 2 2
12.35  37.8  1 0 0
20.42  34.2  2 1 1
35.29  27.7  1 -2 1